Theoretical powder diffraction line list of Al6Ga2Ag for Cu Kα, 1.54184 Å, from a PBE-relaxed structure.
Kinematic intensities with the Lorentz-polarization factor, no thermal factor.

The 12 most intense peaks (2θ from 10° to 80°), sorted by position:
d/Å, I/Imax
5.002, 63
3.167, 65
2.951, 68
2.939, 41
2.865, 38
2.502, 46
2.374, 47
2.307, 54
2.222, 100
2.092, 39
2.058, 50
2.014, 39

Structural model:
```
data_Al6Ga2Ag
_chemical_formula_sum 'Al12 Ga4 Ag2'
_symmetry_space_group_name_H-M 'P 1'
_symmetry_Int_Tables_number 1
_cell_length_a 7.215
_cell_length_b 7.215
_cell_length_c 6.306
_cell_angle_alpha 96.82
_cell_angle_beta 96.82
_cell_angle_gamma 90.78
loop_
_symmetry_equiv_pos_as_xyz
'x,y,z'
loop_
_atom_site_label
_atom_site_fract_x
_atom_site_fract_y
_atom_site_fract_z
Al1 0.043 0.436 0.209
Al2 0.137 0.783 0.528
Al3 0.217 0.863 0.972
Al4 0.276 0.445 0.612
Al5 0.436 0.043 0.709
Al6 0.445 0.276 0.112
Al7 0.555 0.724 0.888
Al8 0.564 0.957 0.291
Al9 0.724 0.555 0.388
Al10 0.783 0.137 0.028
Al11 0.863 0.217 0.472
Al12 0.957 0.564 0.791
Ga1 0.100 0.200 0.846
Ga2 0.200 0.100 0.346
Ga3 0.800 0.900 0.654
Ga4 0.900 0.800 0.154
Ag1 0.377 0.623 0.250
Ag2 0.623 0.377 0.750
```


Theoretical powder diffraction line list of Al3Ga4Ag2 for Cu Kα, 1.54184 Å, from a PBE-relaxed structure.
Kinematic intensities with the Lorentz-polarization factor, no thermal factor.

The 12 most intense peaks (2θ from 10° to 80°), sorted by position:
d/Å, I/Imax
3.935, 30
3.832, 35
3.241, 39
2.696, 66
2.475, 100
2.425, 75
2.264, 41
2.170, 46
2.008, 66
1.993, 38
1.953, 35
1.484, 20

Structural model:
```
data_Al3Ga4Ag2
_chemical_formula_sum 'Al3 Ga4 Ag2'
_symmetry_space_group_name_H-M 'P 1'
_symmetry_Int_Tables_number 1
_cell_length_a 4.531
_cell_length_b 4.978
_cell_length_c 8.363
_cell_angle_alpha 85.66
_cell_angle_beta 75.43
_cell_angle_gamma 63.51
loop_
_symmetry_equiv_pos_as_xyz
'x,y,z'
loop_
_atom_site_label
_atom_site_fract_x
_atom_site_fract_y
_atom_site_fract_z
Al1 0.000 0.000 0.000
Al2 0.261 0.635 0.389
Al3 0.739 0.365 0.611
Ga1 0.361 0.334 0.956
Ga2 0.377 0.018 0.673
Ga3 0.623 0.982 0.327
Ga4 0.639 0.666 0.044
Ag1 0.023 0.684 0.720
Ag2 0.977 0.316 0.280
```


Theoretical powder diffraction line list of KAl2Ga4Ag for Cu Kα, 1.54184 Å, from a PBE-relaxed structure.
Kinematic intensities with the Lorentz-polarization factor, no thermal factor.

The 12 most intense peaks (2θ from 10° to 80°), sorted by position:
d/Å, I/Imax
3.899, 8
3.808, 22
2.921, 6
2.739, 41
2.412, 13
2.269, 100
2.216, 15
1.908, 5
1.748, 10
1.604, 13
1.385, 9
1.310, 30

Structural model:
```
data_KAl2Ga4Ag
_chemical_formula_sum 'K1 Al2 Ga4 Ag1'
_symmetry_space_group_name_H-M 'P 1'
_symmetry_Int_Tables_number 1
_cell_length_a 10.514
_cell_length_b 10.514
_cell_length_c 10.514
_cell_angle_alpha 24.94
_cell_angle_beta 24.94
_cell_angle_gamma 24.94
loop_
_symmetry_equiv_pos_as_xyz
'x,y,z'
loop_
_atom_site_label
_atom_site_fract_x
_atom_site_fract_y
_atom_site_fract_z
K1 0.000 0.000 0.000
Al1 0.232 0.232 0.232
Al2 0.768 0.768 0.768
Ga1 0.130 0.130 0.130
Ga2 0.409 0.409 0.409
Ga3 0.591 0.591 0.591
Ga4 0.870 0.870 0.870
Ag1 0.500 0.500 0.500
```


Theoretical powder diffraction line list of LiAl2GaAg for Cu Kα, 1.54184 Å, from a PBE-relaxed structure.
Kinematic intensities with the Lorentz-polarization factor, no thermal factor.

The 12 most intense peaks (2θ from 10° to 80°), sorted by position:
d/Å, I/Imax
4.109, 100
3.714, 99
3.468, 22
2.436, 57
2.420, 21
2.355, 41
2.170, 58
2.055, 39
2.035, 29
2.028, 50
1.824, 20
1.446, 24

Structural model:
```
data_LiAl2GaAg
_chemical_formula_sum 'Li2 Al4 Ga2 Ag2'
_symmetry_space_group_name_H-M 'P 1'
_symmetry_Int_Tables_number 1
_cell_length_a 4.974
_cell_length_b 4.974
_cell_length_c 9.679
_cell_angle_alpha 90.00
_cell_angle_beta 90.00
_cell_angle_gamma 131.69
loop_
_symmetry_equiv_pos_as_xyz
'x,y,z'
loop_
_atom_site_label
_atom_site_fract_x
_atom_site_fract_y
_atom_site_fract_z
Li1 0.087 0.913 0.750
Li2 0.913 0.087 0.250
Al1 0.208 0.792 0.089
Al2 0.208 0.792 0.411
Al3 0.792 0.208 0.589
Al4 0.792 0.208 0.911
Ga1 0.500 0.500 0.000
Ga2 0.500 0.500 0.500
Ag1 0.383 0.617 0.750
Ag2 0.617 0.383 0.250
```


Theoretical powder diffraction line list of NaAlGaAg for Cu Kα, 1.54184 Å, from a PBE-relaxed structure.
Kinematic intensities with the Lorentz-polarization factor, no thermal factor.

The 10 most intense peaks (2θ from 10° to 80°), sorted by position:
d/Å, I/Imax
3.875, 7
3.356, 41
2.373, 100
2.024, 3
1.938, 11
1.678, 16
1.540, 1
1.501, 15
1.370, 32
1.292, 1

Structural model:
```
data_NaAlGaAg
_chemical_formula_sum 'Na4 Al4 Ga4 Ag4'
_symmetry_space_group_name_H-M 'P 1'
_symmetry_Int_Tables_number 1
_cell_length_a 6.712
_cell_length_b 6.712
_cell_length_c 6.712
_cell_angle_alpha 90.00
_cell_angle_beta 90.00
_cell_angle_gamma 90.00
loop_
_symmetry_equiv_pos_as_xyz
'x,y,z'
loop_
_atom_site_label
_atom_site_fract_x
_atom_site_fract_y
_atom_site_fract_z
Na1 0.000 0.000 0.000
Na2 0.000 0.500 0.500
Na3 0.500 0.000 0.500
Na4 0.500 0.500 0.000
Al1 0.000 0.000 0.500
Al2 0.000 0.500 0.000
Al3 0.500 0.000 0.000
Al4 0.500 0.500 0.500
Ga1 0.250 0.250 0.750
Ga2 0.250 0.750 0.250
Ga3 0.750 0.250 0.250
Ga4 0.750 0.750 0.750
Ag1 0.250 0.250 0.250
Ag2 0.250 0.750 0.750
Ag3 0.750 0.250 0.750
Ag4 0.750 0.750 0.250
```


Theoretical powder diffraction line list of NdAlGa4Ag2 for Cu Kα, 1.54184 Å, from a PBE-relaxed structure.
Kinematic intensities with the Lorentz-polarization factor, no thermal factor.

The 12 most intense peaks (2θ from 10° to 80°), sorted by position:
d/Å, I/Imax
3.922, 10
3.392, 9
3.161, 19
2.720, 16
2.523, 100
2.290, 97
1.696, 29
1.579, 8
1.511, 10
1.387, 8
1.363, 27
1.322, 16

Structural model:
```
data_NdAlGa4Ag2
_chemical_formula_sum 'Nd1 Al1 Ga4 Ag2'
_symmetry_space_group_name_H-M 'P 1'
_symmetry_Int_Tables_number 1
_cell_length_a 9.110
_cell_length_b 9.110
_cell_length_c 9.110
_cell_angle_alpha 29.12
_cell_angle_beta 29.12
_cell_angle_gamma 29.12
loop_
_symmetry_equiv_pos_as_xyz
'x,y,z'
loop_
_atom_site_label
_atom_site_fract_x
_atom_site_fract_y
_atom_site_fract_z
Nd1 0.000 0.000 0.000
Al1 0.500 0.500 0.500
Ga1 0.128 0.128 0.128
Ga2 0.396 0.396 0.396
Ga3 0.604 0.604 0.604
Ga4 0.872 0.872 0.872
Ag1 0.246 0.246 0.246
Ag2 0.754 0.754 0.754
```


Theoretical powder diffraction line list of SrAlGa2Ag4 for Cu Kα, 1.54184 Å, from a PBE-relaxed structure.
Kinematic intensities with the Lorentz-polarization factor, no thermal factor.

The 12 most intense peaks (2θ from 10° to 80°), sorted by position:
d/Å, I/Imax
3.224, 20
2.812, 62
2.623, 55
2.270, 100
2.146, 26
1.766, 15
1.716, 15
1.632, 13
1.447, 16
1.394, 13
1.369, 14
1.310, 17

Structural model:
```
data_SrAlGa2Ag4
_chemical_formula_sum 'Sr1 Al1 Ga2 Ag4'
_symmetry_space_group_name_H-M 'P 1'
_symmetry_Int_Tables_number 1
_cell_length_a 9.750
_cell_length_b 9.750
_cell_length_c 9.750
_cell_angle_alpha 26.92
_cell_angle_beta 26.92
_cell_angle_gamma 26.92
loop_
_symmetry_equiv_pos_as_xyz
'x,y,z'
loop_
_atom_site_label
_atom_site_fract_x
_atom_site_fract_y
_atom_site_fract_z
Sr1 0.000 0.000 0.000
Al1 0.500 0.500 0.500
Ga1 0.249 0.249 0.249
Ga2 0.751 0.751 0.751
Ag1 0.138 0.138 0.138
Ag2 0.408 0.408 0.408
Ag3 0.592 0.592 0.592
Ag4 0.862 0.862 0.862
```


Theoretical powder diffraction line list of SrAlGa4Ag2 for Cu Kα, 1.54184 Å, from a PBE-relaxed structure.
Kinematic intensities with the Lorentz-polarization factor, no thermal factor.

The 12 most intense peaks (2θ from 10° to 80°), sorted by position:
d/Å, I/Imax
4.638, 22
3.234, 21
2.811, 10
2.617, 84
2.294, 100
2.134, 23
2.057, 15
1.725, 23
1.513, 11
1.379, 22
1.325, 16
1.292, 8

Structural model:
```
data_SrAlGa4Ag2
_chemical_formula_sum 'Sr1 Al1 Ga4 Ag2'
_symmetry_space_group_name_H-M 'P 1'
_symmetry_Int_Tables_number 1
_cell_length_a 9.646
_cell_length_b 9.646
_cell_length_c 9.646
_cell_angle_alpha 27.52
_cell_angle_beta 27.52
_cell_angle_gamma 27.52
loop_
_symmetry_equiv_pos_as_xyz
'x,y,z'
loop_
_atom_site_label
_atom_site_fract_x
_atom_site_fract_y
_atom_site_fract_z
Sr1 0.000 0.000 0.000
Al1 0.500 0.500 0.500
Ga1 0.128 0.128 0.128
Ga2 0.403 0.403 0.403
Ga3 0.597 0.597 0.597
Ga4 0.872 0.872 0.872
Ag1 0.240 0.240 0.240
Ag2 0.760 0.760 0.760
```


Theoretical powder diffraction line list of Sr2Al3Ga4Ag for Cu Kα, 1.54184 Å, from a PBE-relaxed structure.
Kinematic intensities with the Lorentz-polarization factor, no thermal factor.

The 12 most intense peaks (2θ from 10° to 80°), sorted by position:
d/Å, I/Imax
4.113, 9
3.462, 13
2.840, 42
2.727, 100
2.214, 50
2.077, 17
1.985, 22
1.746, 20
1.593, 12
1.565, 16
1.478, 17
1.358, 22

Structural model:
```
data_Sr2Al3Ga4Ag
_chemical_formula_sum 'Sr2 Al3 Ga4 Ag1'
_symmetry_space_group_name_H-M 'P 1'
_symmetry_Int_Tables_number 1
_cell_length_a 4.428
_cell_length_b 4.428
_cell_length_c 11.104
_cell_angle_alpha 90.00
_cell_angle_beta 90.00
_cell_angle_gamma 90.00
loop_
_symmetry_equiv_pos_as_xyz
'x,y,z'
loop_
_atom_site_label
_atom_site_fract_x
_atom_site_fract_y
_atom_site_fract_z
Sr1 0.000 0.500 0.248
Sr2 0.500 0.000 0.752
Al1 0.000 0.500 0.867
Al2 0.500 0.000 0.133
Al3 0.500 0.500 0.500
Ga1 0.000 0.000 0.000
Ga2 0.000 0.500 0.636
Ga3 0.500 0.000 0.364
Ga4 0.500 0.500 0.000
Ag1 0.000 0.000 0.500
```


Theoretical powder diffraction line list of AlZnGa2Ag4 for Cu Kα, 1.54184 Å, from a PBE-relaxed structure.
Kinematic intensities with the Lorentz-polarization factor, no thermal factor.

The 12 most intense peaks (2θ from 10° to 80°), sorted by position:
d/Å, I/Imax
3.655, 26
2.960, 88
2.518, 10
2.388, 100
2.324, 46
1.858, 88
1.828, 41
1.392, 9
1.354, 15
1.258, 32
1.248, 10
1.231, 21

Structural model:
```
data_AlZnGa2Ag4
_chemical_formula_sum 'Al2 Zn2 Ga4 Ag8'
_symmetry_space_group_name_H-M 'P 1'
_symmetry_Int_Tables_number 1
_cell_length_a 8.024
_cell_length_b 8.024
_cell_length_c 8.024
_cell_angle_alpha 139.41
_cell_angle_beta 109.22
_cell_angle_gamma 84.92
loop_
_symmetry_equiv_pos_as_xyz
'x,y,z'
loop_
_atom_site_label
_atom_site_fract_x
_atom_site_fract_y
_atom_site_fract_z
Al1 0.500 0.000 0.000
Al2 0.500 0.500 0.500
Zn1 0.000 0.000 0.000
Zn2 0.500 0.000 0.500
Ga1 0.000 0.000 0.500
Ga2 0.000 0.500 0.000
Ga3 0.000 0.500 0.500
Ga4 0.500 0.500 0.000
Ag1 0.240 0.236 0.004
Ag2 0.254 0.252 0.499
Ag3 0.254 0.755 0.001
Ag4 0.268 0.764 0.504
Ag5 0.732 0.236 0.496
Ag6 0.746 0.245 0.999
Ag7 0.746 0.748 0.501
Ag8 0.760 0.764 0.996
```


Theoretical powder diffraction line list of Gd3Al7Ag2 for Cu Kα, 1.54184 Å, from a PBE-relaxed structure.
Kinematic intensities with the Lorentz-polarization factor, no thermal factor.

The 12 most intense peaks (2θ from 10° to 80°), sorted by position:
d/Å, I/Imax
4.757, 18
4.413, 37
3.904, 16
2.979, 27
2.792, 84
2.731, 19
2.408, 15
2.359, 100
1.612, 16
1.514, 24
1.492, 17
1.396, 17

Structural model:
```
data_Gd3Al7Ag2
_chemical_formula_sum 'Gd3 Al7 Ag2'
_symmetry_space_group_name_H-M 'P 1'
_symmetry_Int_Tables_number 1
_cell_length_a 9.396
_cell_length_b 9.396
_cell_length_c 9.396
_cell_angle_alpha 34.57
_cell_angle_beta 34.57
_cell_angle_gamma 34.57
loop_
_symmetry_equiv_pos_as_xyz
'x,y,z'
loop_
_atom_site_label
_atom_site_fract_x
_atom_site_fract_y
_atom_site_fract_z
Gd1 0.000 0.000 0.000
Gd2 0.142 0.142 0.142
Gd3 0.858 0.858 0.858
Al1 0.076 0.587 0.587
Al2 0.413 0.413 0.924
Al3 0.413 0.924 0.413
Al4 0.500 0.500 0.500
Al5 0.587 0.076 0.587
Al6 0.587 0.587 0.076
Al7 0.924 0.413 0.413
Ag1 0.336 0.336 0.336
Ag2 0.664 0.664 0.664
```


Theoretical powder diffraction line list of GdAlAgPt for Cu Kα, 1.54184 Å, from a PBE-relaxed structure.
Kinematic intensities with the Lorentz-polarization factor, no thermal factor.

The 10 most intense peaks (2θ from 10° to 80°), sorted by position:
d/Å, I/Imax
3.911, 23
3.387, 8
2.395, 100
2.043, 12
1.956, 2
1.694, 17
1.554, 5
1.515, 3
1.383, 35
1.304, 4

Structural model:
```
data_GdAlAgPt
_chemical_formula_sum 'Gd4 Al4 Ag4 Pt4'
_symmetry_space_group_name_H-M 'P 1'
_symmetry_Int_Tables_number 1
_cell_length_a 6.775
_cell_length_b 6.775
_cell_length_c 6.775
_cell_angle_alpha 90.00
_cell_angle_beta 90.00
_cell_angle_gamma 90.00
loop_
_symmetry_equiv_pos_as_xyz
'x,y,z'
loop_
_atom_site_label
_atom_site_fract_x
_atom_site_fract_y
_atom_site_fract_z
Gd1 0.000 0.000 0.000
Gd2 0.000 0.500 0.500
Gd3 0.500 0.000 0.500
Gd4 0.500 0.500 0.000
Al1 0.000 0.000 0.500
Al2 0.000 0.500 0.000
Al3 0.500 0.000 0.000
Al4 0.500 0.500 0.500
Ag1 0.250 0.250 0.250
Ag2 0.250 0.750 0.750
Ag3 0.750 0.250 0.750
Ag4 0.750 0.750 0.250
Pt1 0.250 0.250 0.750
Pt2 0.250 0.750 0.250
Pt3 0.750 0.250 0.250
Pt4 0.750 0.750 0.750
```


Theoretical powder diffraction line list of Al2Ag2Ge for Cu Kα, 1.54184 Å, from a PBE-relaxed structure.
Kinematic intensities with the Lorentz-polarization factor, no thermal factor.

The 12 most intense peaks (2θ from 10° to 80°), sorted by position:
d/Å, I/Imax
3.608, 73
2.852, 28
2.551, 79
2.518, 17
2.304, 58
2.215, 100
1.957, 29
1.605, 30
1.574, 29
1.378, 15
1.322, 13
1.229, 15

Structural model:
```
data_Al2Ag2Ge
_chemical_formula_sum 'Al4 Ag4 Ge2'
_symmetry_space_group_name_H-M 'P 1'
_symmetry_Int_Tables_number 1
_cell_length_a 8.068
_cell_length_b 8.068
_cell_length_c 2.806
_cell_angle_alpha 90.00
_cell_angle_beta 90.00
_cell_angle_gamma 90.00
loop_
_symmetry_equiv_pos_as_xyz
'x,y,z'
loop_
_atom_site_label
_atom_site_fract_x
_atom_site_fract_y
_atom_site_fract_z
Al1 0.124 0.376 0.000
Al2 0.376 0.876 0.000
Al3 0.624 0.124 0.000
Al4 0.876 0.624 0.000
Ag1 0.174 0.674 0.500
Ag2 0.326 0.174 0.500
Ag3 0.674 0.826 0.500
Ag4 0.826 0.326 0.500
Ge1 0.000 0.000 0.000
Ge2 0.500 0.500 0.000
```


Theoretical powder diffraction line list of AlAg2GeTe4 for Cu Kα, 1.54184 Å, from a PBE-relaxed structure.
Kinematic intensities with the Lorentz-polarization factor, no thermal factor.

The 12 most intense peaks (2θ from 10° to 80°), sorted by position:
d/Å, I/Imax
3.921, 74
3.893, 39
3.671, 65
3.458, 59
3.439, 33
2.680, 28
2.269, 34
2.253, 66
2.075, 100
1.930, 20
1.920, 40
1.530, 23

Structural model:
```
data_AlAg2GeTe4
_chemical_formula_sum 'Al2 Ag4 Ge2 Te8'
_symmetry_space_group_name_H-M 'P 1'
_symmetry_Int_Tables_number 1
_cell_length_a 9.076
_cell_length_b 7.786
_cell_length_c 7.341
_cell_angle_alpha 90.00
_cell_angle_beta 90.00
_cell_angle_gamma 90.00
loop_
_symmetry_equiv_pos_as_xyz
'x,y,z'
loop_
_atom_site_label
_atom_site_fract_x
_atom_site_fract_y
_atom_site_fract_z
Al1 0.000 0.159 0.000
Al2 0.500 0.841 0.500
Ag1 0.250 0.318 0.511
Ag2 0.250 0.682 0.011
Ag3 0.750 0.318 0.511
Ag4 0.750 0.682 0.011
Ge1 0.000 0.831 0.492
Ge2 0.500 0.169 0.992
Te1 0.000 0.161 0.363
Te2 0.000 0.844 0.870
Te3 0.234 0.335 0.889
Te4 0.266 0.665 0.389
Te5 0.500 0.156 0.370
Te6 0.500 0.839 0.863
Te7 0.734 0.665 0.389
Te8 0.766 0.335 0.889
```